# GdTlS2
Simulated XRD peak list, λ = 1.5418 Å (Cu Kα). Input: DFT lattice parameters and positions (PBE).
Peak positions follow from Bragg's law for the DFT cell and can differ from measured ones.

Largest 10 diffraction maxima, low angle first, 10 to 90 degrees two-theta:
| 2θ (°) | d/Å | I/Imax |
| --- | --- | --- |
| 23.69 | 3.755 | 30 |
| 26.32 | 3.386 | 64 |
| 29.74 | 3.004 | 100 |
| 40.90 | 2.206 | 39 |
| 44.18 | 2.050 | 35 |
| 47.81 | 1.902 | 17 |
| 50.74 | 1.799 | 25 |
| 54.17 | 1.693 | 18 |
| 67.67 | 1.385 | 16 |
| 72.39 | 1.305 | 16 |

Structural model:
```
data_GdTlS2
_chemical_formula_sum 'Gd1 Tl1 S2'
_space_group_name_H-M_alt 'P 1'
_space_group_IT_number 1
_cell_length_a 7.874
_cell_length_b 7.874
_cell_length_c 7.874
_cell_angle_alpha 30.18
_cell_angle_beta 30.18
_cell_angle_gamma 30.18
loop_
_space_group_symop_operation_xyz
'x,y,z'
loop_
_atom_site_label
_atom_site_type_symbol
_atom_site_fract_x
_atom_site_fract_y
_atom_site_fract_z
Gd1 Gd 0.000 0.000 0.000
Tl1 Tl 0.500 0.500 0.500
S1 S 0.267 0.267 0.267
S2 S 0.733 0.733 0.733
```